The following is a simulated X-ray powder pattern of CsCeCl14. It was derived from a crystal structure in Alexandria, relaxed with PBE, using copper Kα.

a = 11.727 Å, b = 11.727 Å, c = 5.498 Å
α = 95.36°, β = 95.36°, γ = 111.52°
Atoms (fractional coordinates):
Cs 0.000 0.000 0.000
Ce 0.256 0.744 0.000
Cl 0.019 0.705 0.939
Cl 0.205 0.509 0.960
Cl 0.251 0.315 0.673
Cl 0.253 0.747 0.500
Cl 0.279 0.178 0.462
Cl 0.295 0.981 0.061
Cl 0.491 0.795 0.040
Cl 0.529 0.092 0.788
Cl 0.685 0.749 0.327
Cl 0.689 0.119 0.644
Cl 0.822 0.721 0.538
Cl 0.881 0.311 0.356
Cl 0.892 0.108 0.500
Cl 0.908 0.471 0.212

Largest 10 diffraction maxima, most intense first, 2θ from 10° to 90°:
| 2θ (°) | I_rel |
| --- | --- |
| 19.3 | 100 |
| 19.5 | 92 |
| 24.7 | 89 |
| 16.4 | 68 |
| 18.3 | 67 |
| 23.3 | 66 |
| 26.9 | 63 |
| 17.3 | 43 |
| 33.2 | 40 |
| 21.0 | 38 |